(1)
This entry pairs a crystal structure of VTeO4 with its calculated PXRD pattern. Radiation: λ = 1.5418 Å (Cu Kα). Structure: a cell relaxed with PBE+U.

Structural model:
```
data_VTeO4
_space_group_name_H-M_alt 'P 1 21/c 1'
_space_group_IT_number 14
_cell_length_a 4.5996
_cell_length_b 13.6844
_cell_length_c 5.4864
_cell_angle_alpha 90.00
_cell_angle_beta 90.95
_cell_angle_gamma 90.00
loop_
_space_group_symop_operation_xyz
'x,y,z'
'-x,-y,-z'
'-x,y+1/2,-z+1/2'
'x,-y+1/2,z+1/2'
loop_
_atom_site_label
_atom_site_type_symbol
_atom_site_fract_x
_atom_site_fract_y
_atom_site_fract_z
V1 V 0.1791 0.1607 0.1662
Te1 Te 0.4617 0.6100 0.8569
O1 O 0.1808 0.6658 0.3189
O2 O 0.2539 0.0822 0.8746
O3 O 0.3133 0.2232 0.4830
O4 O 0.3319 0.0480 0.3673
```

The 10 most intense peaks (2θ = 15–90°), in order of rising 2θ:
2theta  I_rel
17.42  33
19.30  73
25.91  67
26.05  64
28.30  31
28.68  100
30.80  28
32.63  30
33.32  38
42.93  38

(2)
This entry pairs a crystal structure of Li3FeO3 with its calculated PXRD pattern. Radiation: λ = 1.5418 Å (Cu Kα). Structure: a cell relaxed with PBE+U.

Structural model:
```
data_Li3FeO3
_space_group_name_H-M_alt 'P 1 21/c 1'
_space_group_IT_number 14
_cell_length_a 5.4153
_cell_length_b 11.2762
_cell_length_c 5.7241
_cell_angle_alpha 90.00
_cell_angle_beta 121.53
_cell_angle_gamma 90.00
loop_
_space_group_symop_operation_xyz
'x,y,z'
'-x,-y,-z'
'-x,y+1/2,-z+1/2'
'x,-y+1/2,z+1/2'
loop_
_atom_site_label
_atom_site_type_symbol
_atom_site_fract_x
_atom_site_fract_y
_atom_site_fract_z
Li1 Li 0.0061 0.0056 0.2355
Li2 Li 0.0465 0.7397 0.7109
Li3 Li 0.4194 0.6237 0.1612
Fe1 Fe 0.4307 0.1395 0.7653
O1 O 0.0214 0.1311 0.5490
O2 O 0.3222 0.5111 0.6550
O3 O 0.4746 0.7491 0.4384
```

The 10 most intense peaks (2θ = 15–90°), in order of rising 2θ:
2theta  I_rel
19.23  48
19.93  13
24.15  100
30.07  27
31.25  17
36.71  11
36.85  15
39.03  12
45.14  15
61.02  10